1.
Diffraction record for SmPuHg4. The X-ray powder pattern is calculated, not measured: it uses a GGA-PBE-relaxed structure and copper Kα.

Peak list (10 most intense, 2θ = 10–80°, in order of rising 2θ)
(1 0 0), 27.1°, 3.285 Å, I = 8.0
(1 1 1), 34.0°, 2.635 Å, I = 95.8
(0 2 0), 35.2°, 2.549 Å, I = 100.0
(1 2 0), 45.0°, 2.014 Å, I = 12.8
(1 0 4), 49.8°, 1.832 Å, I = 33.4
(2 0 0), 56.0°, 1.642 Å, I = 9.0
(1 2 4), 62.4°, 1.488 Å, I = 34.2
(0 3 3), 63.2°, 1.471 Å, I = 12.6
(2 2 0), 67.9°, 1.381 Å, I = 30.6
(0 2 6), 74.4°, 1.275 Å, I = 8.0

Cell and atoms:
Cell lengths 3.285, 5.095, 8.833 Å; angles 90.00, 90.00, 90.00 degrees
Space group Pmmm (No. 47)
Inequivalent atoms, fractional coordinates:
Sm (0.000, 0.000, 0.000)
Pu (0.000, 0.500, 0.500)
Hg (0.500, 0.000, 0.333)
Hg (0.500, 0.500, 0.166)



2.
Diffraction record for Sr2La6Tc. The X-ray powder pattern is calculated, not measured: it uses a GGA-PBE-relaxed structure and copper Kα.

Peak list (10 most intense, 2θ = 10–80°, in order of rising 2θ)
(1 0 -1), 10.7°, 8.260 Å, I = 100.0
(1 1 0), 24.4°, 3.654 Å, I = 42.4
(2 0 -3), 27.2°, 3.277 Å, I = 54.7
(0 1 2), 28.8°, 3.099 Å, I = 55.3
(2 1 -1), 29.2°, 3.058 Å, I = 64.0
(3 0 0), 31.1°, 2.876 Å, I = 62.4
(1 1 2), 33.1°, 2.707 Å, I = 32.2
(0 1 3), 35.6°, 2.520 Å, I = 35.8
(0 2 0), 44.9°, 2.017 Å, I = 29.6
(4 1 -4), 49.6°, 1.838 Å, I = 29.6

Cell and atoms:
Cell lengths 9.390, 4.035, 10.535 Å; angles 90.00, 113.23, 90.00 degrees
Space group P2/m (No. 10)
Inequivalent atoms, fractional coordinates:
Sr (0.204, 0.000, 0.339)
La (0.149, 0.500, 0.643)
La (0.189, 0.500, 0.966)
La (0.466, 0.000, 0.802)
Tc (0.500, 0.500, 0.000)



3.
Diffraction record for BaAs4Pt5. The X-ray powder pattern is calculated, not measured: it uses a GGA-PBE-relaxed structure and copper Kα.

Peak list (10 most intense, 2θ = 10–80°, in order of rising 2θ)
(1 1 0), 13.9°, 6.361 Å, I = 74.6
(2 2 0), 28.1°, 3.180 Å, I = 58.3
(0 3 1), 29.6°, 3.017 Å, I = 100.0
(2 1 1), 32.1°, 2.785 Å, I = 40.1
(2 2 1), 34.6°, 2.592 Å, I = 48.1
(2 3 1), 38.4°, 2.343 Å, I = 73.7
(3 0 1), 41.6°, 2.169 Å, I = 49.9
(0 2 2), 43.1°, 2.101 Å, I = 94.2
(0 6 0), 44.3°, 2.044 Å, I = 82.9
(2 5 1), 48.9°, 1.861 Å, I = 70.8

Cell and atoms:
Cell lengths 7.440, 12.260, 4.472 Å; angles 90.00, 90.00, 90.00 degrees
Space group Pmmn (No. 59, origin choice 2)
Inequivalent atoms, fractional coordinates:
Ba (0.250, 0.250, 0.052)
As (0.067, 0.750, 0.483)
As (0.250, 0.527, 0.765)
Pt (0.050, 0.566, 0.247)
Pt (0.250, 0.750, 0.987)



4.
Diffraction record for Co2Au2N. The X-ray powder pattern is calculated, not measured: it uses a GGA-PBE-relaxed structure and copper Kα.

Peak list (10 most intense, 2θ = 10–80°, in order of rising 2θ)
(1 0 0), 18.8°, 4.713 Å, I = 100.0
(1 1 0), 26.8°, 3.333 Å, I = 24.5
(0 0 2), 35.4°, 2.535 Å, I = 21.2
(2 0 0), 38.2°, 2.356 Å, I = 34.5
(1 0 2), 40.4°, 2.233 Å, I = 30.7
(2 1 0), 42.9°, 2.108 Å, I = 26.0
(1 1 2), 44.9°, 2.018 Å, I = 12.7
(2 0 2), 53.1°, 1.726 Å, I = 26.3
(2 1 2), 56.8°, 1.621 Å, I = 23.1
(2 2 2), 67.2°, 1.392 Å, I = 12.8

Cell and atoms:
Cell lengths 4.713, 4.713, 5.071 Å; angles 90.00, 90.00, 90.00 degrees
Space group P4/mmm (No. 123)
Inequivalent atoms, fractional coordinates:
Co (0.000, 0.500, 0.000)
Au (0.000, 0.000, 0.000)
Au (0.000, 0.000, 0.500)
N (0.500, 0.500, 0.500)



5.
Diffraction record for Th2FeSi3. The X-ray powder pattern is calculated, not measured: it uses a GGA-PBE-relaxed structure and copper Kα.

Peak list (10 most intense, 2θ = 10–80°, in order of rising 2θ)
(0 1 1), 22.1°, 4.026 Å, I = 28.8
(1 0 1), 22.9°, 3.880 Å, I = 21.0
(0 0 4), 25.2°, 3.528 Å, I = 25.2
(0 1 3), 28.5°, 3.133 Å, I = 25.8
(1 0 3), 29.2°, 3.063 Å, I = 29.4
(1 1 2), 33.3°, 2.690 Å, I = 100.0
(0 1 5), 38.4°, 2.343 Å, I = 19.2
(1 0 5), 38.9°, 2.313 Å, I = 21.7
(0 2 0), 43.1°, 2.100 Å, I = 16.1
(0 2 4), 50.6°, 1.804 Å, I = 22.5

Cell and atoms:
Cell lengths 4.035, 4.200, 14.113 Å; angles 90.00, 90.00, 90.00 degrees
Space group Imm2 (No. 44)
Inequivalent atoms, fractional coordinates:
Th (0.000, 0.000, 0.000)
Th (0.000, 0.500, 0.248)
Fe (0.000, 0.500, 0.658)
Si (0.000, 0.000, 0.414)
Si (0.000, 0.000, 0.585)
Si (0.000, 0.500, 0.820)



6.
Diffraction record for Nd5Co4. The X-ray powder pattern is calculated, not measured: it uses a GGA-PBE-relaxed structure and copper Kα.

Peak list (10 most intense, 2θ = 10–80°, in order of rising 2θ)
(2 0 -3), 28.1°, 3.179 Å, I = 45.7
(2 0 2), 29.5°, 3.026 Å, I = 38.5
(4 0 -1), 30.9°, 2.890 Å, I = 41.6
(3 1 -1), 32.5°, 2.752 Å, I = 100.0
(1 1 2), 32.8°, 2.727 Å, I = 90.1
(1 1 -3), 35.8°, 2.508 Å, I = 54.4
(3 1 -3), 38.7°, 2.324 Å, I = 38.7
(0 2 0), 46.2°, 1.966 Å, I = 35.8
(6 0 -4), 52.4°, 1.746 Å, I = 27.7
(7 1 -2), 60.8°, 1.524 Å, I = 26.5

Cell and atoms:
Cell lengths 11.575, 3.932, 9.789 Å; angles 90.00, 110.29, 90.00 degrees
Space group C2/m (No. 12)
Inequivalent atoms, fractional coordinates:
Nd (0.000, 0.000, 0.000)
Nd (0.109, 0.000, 0.397)
Nd (0.228, 0.000, 0.819)
Co (0.038, 0.500, 0.817)
Co (0.089, 0.500, 0.609)



7.
Diffraction record for Na2CdSn. The X-ray powder pattern is calculated, not measured: it uses a GGA-PBE-relaxed structure and copper Kα.

Peak list (10 most intense, 2θ = 10–80°, in order of rising 2θ)
(0 0 1), 17.7°, 5.006 Å, I = 48.8
(1 1 0), 27.7°, 3.225 Å, I = 33.8
(1 1 1), 33.0°, 2.711 Å, I = 100.0
(0 0 2), 35.9°, 2.503 Å, I = 20.0
(2 0 0), 39.5°, 2.280 Å, I = 30.5
(2 0 1), 43.6°, 2.075 Å, I = 20.1
(1 1 2), 45.9°, 1.977 Å, I = 17.4
(2 0 2), 54.4°, 1.686 Å, I = 23.6
(1 1 3), 62.7°, 1.482 Å, I = 15.2
(3 1 1), 67.6°, 1.386 Å, I = 24.2

Cell and atoms:
Cell lengths 4.560, 4.560, 5.006 Å; angles 90.00, 90.00, 90.00 degrees
Space group P4/mmm (No. 123)
Inequivalent atoms, fractional coordinates:
Na (0.000, 0.500, 0.000)
Cd (0.000, 0.000, 0.500)
Sn (0.500, 0.500, 0.500)



8.
Diffraction record for Na3VH7. The X-ray powder pattern is calculated, not measured: it uses a GGA-PBE-relaxed structure and copper Kα.

Peak list (10 most intense, 2θ = 10–80°, in order of rising 2θ)
(1 1 0), 19.2°, 4.624 Å, I = 18.6
(1 1 -1), 20.9°, 4.245 Å, I = 31.7
(0 2 1), 31.8°, 2.813 Å, I = 100.0
(2 0 0), 32.4°, 2.764 Å, I = 50.6
(2 2 -1), 32.8°, 2.729 Å, I = 89.9
(2 0 -2), 36.6°, 2.456 Å, I = 32.1
(0 4 0), 42.9°, 2.110 Å, I = 23.4
(2 4 0), 54.7°, 1.677 Å, I = 20.5
(2 2 1), 56.8°, 1.621 Å, I = 16.8
(4 2 -1), 58.7°, 1.573 Å, I = 16.3

Cell and atoms:
Cell lengths 7.207, 8.440, 4.919 Å; angles 90.00, 129.92, 90.00 degrees
Space group Cm (No. 8)
Inequivalent atoms, fractional coordinates:
Na (0.000, 0.000, 0.000)
Na (0.010, 0.239, 0.540)
V (0.016, 0.500, 0.099)
H (0.206, 0.000, 0.744)
H (0.214, 0.390, 0.461)
H (0.274, 0.500, 0.141)
H (0.410, 0.000, 0.342)
H (0.460, 0.203, 0.977)



9.
Diffraction record for Hf2NiSb4. The X-ray powder pattern is calculated, not measured: it uses a GGA-PBE-relaxed structure and copper Kα.

Peak list (10 most intense, 2θ = 10–80°, in order of rising 2θ)
(0 0 2), 12.7°, 6.944 Å, I = 30.7
(1 1 0), 24.7°, 3.598 Å, I = 53.4
(1 1 2), 27.9°, 3.195 Å, I = 35.4
(2 0 0), 35.3°, 2.544 Å, I = 100.0
(1 1 4), 35.9°, 2.498 Å, I = 65.2
(1 0 5), 36.9°, 2.438 Å, I = 80.9
(2 2 0), 50.7°, 1.799 Å, I = 35.3
(2 1 5), 51.9°, 1.760 Å, I = 60.2
(3 1 4), 63.7°, 1.460 Å, I = 24.8
(3 2 5), 75.6°, 1.258 Å, I = 19.6

Cell and atoms:
Cell lengths 5.088, 5.088, 13.888 Å; angles 90.00, 90.00, 90.00 degrees
Space group I4/mmm (No. 139)
Inequivalent atoms, fractional coordinates:
Hf (0.000, 0.000, 0.111)
Ni (0.000, 0.000, 0.500)
Sb (0.000, 0.000, 0.316)
Sb (0.000, 0.500, 0.000)



10.
Diffraction record for Nb4CdS8. The X-ray powder pattern is calculated, not measured: it uses a GGA-PBE-relaxed structure and copper Kα.

Peak list (10 most intense, 2θ = 10–80°, in order of rising 2θ)
(0 0 1), 12.5°, 7.088 Å, I = 100.0
(1 1 -1), 16.4°, 5.394 Å, I = 24.9
(2 2 -1), 30.6°, 2.917 Å, I = 44.5
(4 0 -1), 33.0°, 2.711 Å, I = 19.7
(2 2 -2), 33.3°, 2.691 Å, I = 40.6
(4 0 0), 39.7°, 2.270 Å, I = 26.6
(2 2 1), 39.8°, 2.263 Å, I = 31.0
(2 2 -3), 40.2°, 2.244 Å, I = 50.3
(4 0 -4), 40.4°, 2.232 Å, I = 16.1
(6 2 -3), 54.5°, 1.683 Å, I = 23.5

Cell and atoms:
Cell lengths 11.655, 6.746, 9.100 Å; angles 90.00, 128.84, 90.00 degrees
Space group C2/m (No. 12)
Inequivalent atoms, fractional coordinates:
Nb (0.000, 0.241, 0.000)
Nb (0.241, 0.000, 0.987)
Cd (0.000, 0.500, 0.500)
S (0.020, 0.500, 0.215)
S (0.031, 0.000, 0.230)
S (0.223, 0.255, 0.777)



11.
Diffraction record for PmTeH2O6. The X-ray powder pattern is calculated, not measured: it uses a GGA-PBE-relaxed structure and copper Kα.

Peak list (10 most intense, 2θ = 10–80°, in order of rising 2θ)
(0 1 1), 22.4°, 3.972 Å, I = 100.0
(1 1 0), 23.0°, 3.865 Å, I = 88.4
(1 0 1), 24.4°, 3.647 Å, I = 72.1
(0 1 -1), 28.9°, 3.086 Å, I = 51.0
(1 0 -1), 29.7°, 3.005 Å, I = 43.0
(1 -1 0), 32.9°, 2.723 Å, I = 28.9
(1 1 2), 33.8°, 2.651 Å, I = 40.5
(2 1 1), 38.1°, 2.362 Å, I = 21.3
(0 2 0), 38.6°, 2.330 Å, I = 20.2
(1 2 -1), 47.1°, 1.930 Å, I = 34.2

Cell and atoms:
Cell lengths 4.765, 5.264, 5.552 Å; angles 70.13, 72.23, 66.03 degrees
Space group P-1 (No. 2)
Inequivalent atoms, fractional coordinates:
Pm (0.000, 0.000, 0.000)
Te (0.500, 0.500, 0.500)
H (0.142, 0.381, 0.306)
O (0.124, 0.741, 0.681)
O (0.257, 0.523, 0.254)
O (0.423, 0.172, 0.751)



12.
Diffraction record for Li2HClO. The X-ray powder pattern is calculated, not measured: it uses a GGA-PBE-relaxed structure and copper Kα.

Peak list (10 most intense, 2θ = 10–80°, in order of rising 2θ)
(1 0 1), 18.1°, 4.906 Å, I = 23.1
(2 1 0), 24.3°, 3.656 Å, I = 100.0
(2 1 1), 29.1°, 3.072 Å, I = 60.5
(3 0 1), 31.6°, 2.833 Å, I = 21.4
(0 2 0), 32.7°, 2.741 Å, I = 22.0
(1 0 2), 32.9°, 2.722 Å, I = 20.3
(3 1 1), 35.7°, 2.516 Å, I = 18.0
(1 1 2), 36.9°, 2.438 Å, I = 20.9
(3 2 1), 46.1°, 1.970 Å, I = 22.3
(1 2 2), 47.0°, 1.931 Å, I = 23.9

Cell and atoms:
Cell lengths 9.811, 5.482, 5.667 Å; angles 90.00, 90.00, 90.00 degrees
Space group Pnma (No. 62)
Inequivalent atoms, fractional coordinates:
Li (0.119, 0.000, 0.070)
H (0.059, 0.250, 0.728)
Cl (0.204, 0.250, 0.391)
O (0.021, 0.250, 0.888)